The following is a simulated X-ray powder pattern of Ce2Te3F2. It was derived from a DFT-relaxed cell (PBE, Alexandria), using Cu Kα X-rays.
Lines closer than 0.1° are merged.

Most intense lines, 5 to 70 degrees two-theta, in order of rising 2θ:
(2 1 0), 2θ = 25.25°, I 59.0
(1 2 1), 2θ = 25.45°, I 59.9
(0 2 2), 2θ = 26.16°, I 44.5
(2 0 2), 2θ = 27.33°, I 45.4
(2 2 0), 2θ = 31.51°, I 74.8
(1 0 4), 2θ = 32.08°, I 100.0
(2 1 3), 2θ = 33.92°, I 57.6
(1 3 1), 2θ = 35.26°, I 53.3
(3 1 1), 2θ = 37.05°, I 53.1
(1 2 4), 2θ = 38.91°, I 93.1

Cell and atoms:
a = 7.793 Å, b = 8.294 Å, c = 11.953 Å
α = 90.00°, β = 90.00°, γ = 90.00°
Space group Pbcm (No. 57)
One atom of each set of equivalent atoms:
1 Ce 0.039 0.250 0.000 x4
2 Ce 0.273 0.526 0.250 x4
3 Te 0.088 0.645 0.750 x4
4 Te 0.410 0.210 0.122 x8
5 F 0.146 0.539 0.058 x8

=====

The following is a simulated X-ray powder pattern of Ag4HgCl6. It was derived from a DFT-relaxed cell (PBE, Alexandria), using Cu Kα X-rays.
Lines closer than 0.1° are merged.

Most intense lines, 5 to 70 degrees two-theta, in order of rising 2θ:
(2 0 0), 2θ = 14.90°, I 35.6
(1 1 1), 2θ = 16.58°, I 27.9
(3 1 -1), 2θ = 23.91°, I 60.8
(2 0 2), 2θ = 24.02°, I 30.4
(0 2 2), 2θ = 27.09°, I 49.9
(3 1 -3), 2θ = 27.30°, I 27.4
(1 1 3), 2θ = 27.51°, I 28.7
(2 2 -2), 2θ = 28.39°, I 100.0
(1 1 5), 2θ = 40.95°, I 39.1
(2 2 -6), 2θ = 46.71°, I 27.0

Cell and atoms:
a = 12.756 Å, b = 7.723 Å, c = 13.507 Å
α = 90.00°, β = 111.21°, γ = 90.00°
Space group Cc (No. 9)
One atom of each set of equivalent atoms:
1 Ag 0.000 0.001 0.000 x4
2 Ag 0.187 0.253 0.322 x4
3 Ag 0.321 0.253 0.679 x4
4 Ag 0.494 0.011 0.997 x4
5 Hg 0.050 0.246 0.754 x4
6 Cl 0.119 0.256 0.943 x4
7 Cl 0.172 0.490 0.691 x4
8 Cl 0.176 0.009 0.693 x4
9 Cl 0.355 0.245 0.501 x4
10 Cl 0.395 0.259 0.087 x4
11 Cl 0.495 0.256 0.857 x4

=====

The following is a simulated X-ray powder pattern of Tb3DyCd6. It was derived from a DFT-relaxed cell (PBE, Alexandria), using Cu Kα X-rays.
Lines closer than 0.1° are merged.

Most intense lines, 5 to 70 degrees two-theta, in order of rising 2θ:
(3 1 -1), 2θ = 33.96°, I 68.2
(2 0 -4), 2θ = 34.31°, I 100.0
(0 2 0), 2θ = 34.77°, I 33.0
(4 0 2), 2θ = 48.41°, I 11.6
(2 2 -4), 2θ = 49.67°, I 23.2
(6 0 -2), 2θ = 60.26°, I 5.8
(5 1 -5), 2θ = 61.01°, I 23.1
(1 1 -7), 2θ = 61.68°, I 11.6
(3 3 -1), 2θ = 61.81°, I 11.7
(1 3 3), 2θ = 62.03°, I 11.7

Cell and atoms:
a = 9.216 Å, b = 5.161 Å, c = 11.056 Å
α = 90.00°, β = 105.41°, γ = 90.00°
Space group P2_1/m (No. 11)
One atom of each set of equivalent atoms:
1 Tb 0.028 0.250 0.393 x2
2 Tb 0.150 0.750 0.209 x2
3 Tb 0.261 0.250 0.002 x2
4 Dy 0.444 0.250 0.607 x2
5 Cd 0.050 0.750 0.906 x2
6 Cd 0.161 0.250 0.708 x2
7 Cd 0.261 0.750 0.505 x2
8 Cd 0.352 0.250 0.307 x2
9 Cd 0.356 0.750 0.807 x2
10 Cd 0.449 0.750 0.102 x2

=====

The following is a simulated X-ray powder pattern of CaGa4Cu2Au. It was derived from a DFT-relaxed cell (PBE, Alexandria), using Cu Kα X-rays.
Lines closer than 0.1° are merged.

Most intense lines, 5 to 70 degrees two-theta, in order of rising 2θ:
(0 0 3), 2θ = 9.43°, I 92.5
(1 0 1), 2θ = 24.49°, I 21.7
(0 1 2), 2θ = 25.11°, I 17.7
(0 1 8), 2θ = 35.37°, I 100.0
(1 0 10), 2θ = 40.42°, I 17.3
(1 1 0), 2θ = 42.73°, I 82.9
(0 1 11), 2θ = 43.13°, I 24.0
(1 1 3), 2θ = 43.86°, I 15.6
(2 0 8), 2θ = 56.64°, I 24.9
(1 1 12), 2θ = 58.78°, I 11.4

Cell and atoms:
a = 4.2320 Å, b = 4.2320 Å, c = 28.1350 Å
α = 90.00°, β = 90.00°, γ = 120.00°
Space group R-3m (No. 166, hexagonal axes)
One atom of each set of equivalent atoms:
1 Ca 0.0000 0.0000 0.0000 x3
2 Ga 0.0000 0.0000 0.1214 x6
3 Ga 0.0000 0.0000 0.4004 x6
4 Cu 0.0000 0.0000 0.2487 x6
5 Au 0.0000 0.0000 0.5000 x3

=====

The following is a simulated X-ray powder pattern of AgHg3SbO6. It was derived from a DFT-relaxed cell (PBE, Alexandria), using Cu Kα X-rays.
Lines closer than 0.1° are merged.

Most intense lines, 5 to 70 degrees two-theta, in order of rising 2θ:
(1 1 3), 2θ = 27.60°, I 100.0
(3 0 0), 2θ = 31.31°, I 82.5
(2 1 4), 2θ = 39.58°, I 12.1
(2 2 3), 2θ = 42.22°, I 31.9
(0 0 6), 2θ = 42.36°, I 9.4
(1 4 3), 2θ = 53.49°, I 30.2
(3 0 6), 2θ = 53.61°, I 18.3
(3 3 0), 2θ = 55.73°, I 19.8
(6 0 0), 2θ = 65.33°, I 9.5
(1 1 9), 2θ = 68.64°, I 8.7

Cell and atoms:
a = 9.8962 Å, b = 9.8962 Å, c = 12.8024 Å
α = 90.00°, β = 90.00°, γ = 120.00°
Space group R-3c (No. 167, hexagonal axes)
One atom of each set of equivalent atoms:
1 Ag 0.0000 0.0000 0.2500 x6
2 Hg 0.0000 0.3473 0.2500 x18
3 Sb 0.0000 0.0000 0.0000 x6
4 O 0.0932 0.1910 0.4059 x36

=====

The following is a simulated X-ray powder pattern of FeCoGe4. It was derived from a DFT-relaxed cell (PBE, Alexandria), using Cu Kα X-rays.
Lines closer than 0.1° are merged.

Most intense lines, 5 to 70 degrees two-theta, in order of rising 2θ:
(2 0 0), 2θ = 21.75°, I 43.0
(2 2 0), 2θ = 30.95°, I 22.8
(1 3 0), 2θ = 34.72°, I 19.6
(2 0 1), 2θ = 36.80°, I 100.0
(0 4 0), 2θ = 44.34°, I 48.9
(3 1 1), 2θ = 46.06°, I 38.8
(3 3 1), 2θ = 56.53°, I 28.6
(2 4 1), 2θ = 58.94°, I 34.4
(0 0 2), 2θ = 60.81°, I 11.7
(4 4 0), 2θ = 64.51°, I 11.5

Cell and atoms:
a = 8.165 Å, b = 8.177 Å, c = 3.046 Å
α = 90.00°, β = 90.00°, γ = 90.00°
Space group Cmmm (No. 65)
One atom of each set of equivalent atoms:
1 Fe 0.000 0.000 0.000 x2
2 Co 0.000 0.500 0.500 x2
3 Ge 0.000 0.218 0.500 x4
4 Ge 0.217 0.500 0.000 x4

=====

The following is a simulated X-ray powder pattern of SmAlTc. It was derived from a DFT-relaxed cell (PBE, Alexandria), using Cu Kα X-rays.
Lines closer than 0.1° are merged.

Most intense lines, 5 to 70 degrees two-theta, in order of rising 2θ:
(0 0 2), 2θ = 17.50°, I 11.7
(1 0 1), 2θ = 27.27°, I 58.1
(0 0 4), 2θ = 35.42°, I 17.8
(1 1 0), 2θ = 36.78°, I 61.0
(1 0 3), 2θ = 37.22°, I 100.0
(1 1 4), 2θ = 51.99°, I 23.6
(2 0 0), 2θ = 53.00°, I 21.1
(2 1 1), 2θ = 60.61°, I 12.4
(2 0 4), 2θ = 65.37°, I 11.8
(2 1 3), 2θ = 66.53°, I 35.8

Cell and atoms:
a = 3.456 Å, b = 3.456 Å, c = 10.137 Å
α = 90.00°, β = 90.00°, γ = 90.00°
Space group I4mm (No. 107)
One atom of each set of equivalent atoms:
1 Sm 0.000 0.000 0.000 x2
2 Al 0.000 0.000 0.288 x2
3 Tc 0.000 0.000 0.696 x2

=====

The following is a simulated X-ray powder pattern of Sm6InGe2. It was derived from a DFT-relaxed cell (PBE, Alexandria), using Cu Kα X-rays.
Lines closer than 0.1° are merged.

Most intense lines, 5 to 70 degrees two-theta, in order of rising 2θ:
(0 1 3), 2θ = 26.91°, I 14.8
(3 1 0), 2θ = 28.68°, I 16.5
(2 2 2), 2θ = 30.62°, I 100.0
(2 1 3), 2θ = 32.60°, I 39.2
(1 3 2), 2θ = 33.03°, I 44.7
(2 3 1), 2θ = 33.52°, I 43.7
(0 0 4), 2θ = 34.06°, I 15.6
(4 0 0), 2θ = 36.59°, I 28.7
(0 2 4), 2θ = 38.63°, I 14.6
(5 3 2), 2θ = 57.13°, I 22.6

Cell and atoms:
a = 9.823 Å, b = 10.028 Å, c = 10.530 Å
α = 90.00°, β = 90.00°, γ = 90.00°
Space group Immm (No. 71)
One atom of each set of equivalent atoms:
1 Sm 0.000 0.202 0.246 x8
2 Sm 0.205 0.500 0.176 x8
3 Sm 0.225 0.318 0.500 x8
4 In 0.000 0.000 0.000 x2
5 In 0.000 0.000 0.500 x2
6 Ge 0.000 0.358 0.000 x4
7 Ge 0.000 0.500 0.380 x4

=====

The following is a simulated X-ray powder pattern of SrSe2S. It was derived from a DFT-relaxed cell (PBE, Alexandria), using Cu Kα X-rays.
Lines closer than 0.1° are merged.

Most intense lines, 5 to 70 degrees two-theta, in order of rising 2θ:
(1 0 -1), 2θ = 23.03°, I 16.5
(0 1 1), 2θ = 25.41°, I 16.1
(1 1 0), 2θ = 29.17°, I 100.0
(1 1 -1), 2θ = 30.19°, I 16.1
(1 0 1), 2θ = 31.07°, I 15.5
(0 0 2), 2θ = 33.18°, I 36.5
(1 0 -2), 2θ = 33.91°, I 14.9
(0 2 0), 2θ = 39.09°, I 32.0
(1 1 -2), 2θ = 39.29°, I 36.1
(0 2 2), 2θ = 52.19°, I 20.5

Cell and atoms:
a = 4.290 Å, b = 4.608 Å, c = 5.654 Å
α = 90.00°, β = 107.26°, γ = 90.00°
Space group Pm (No. 6)
One atom of each set of equivalent atoms:
1 Sr 0.000 0.000 0.000 x1
2 Se 0.524 0.500 0.567 x1
3 Se 0.533 0.500 0.115 x1
4 S 0.338 0.000 0.575 x1

=====

The following is a simulated X-ray powder pattern of TaMo3H4. It was derived from a DFT-relaxed cell (PBE, Alexandria), using Cu Kα X-rays.
Lines closer than 0.1° are merged.

Most intense lines, 5 to 70 degrees two-theta, in order of rising 2θ:
(1 0 0), 2θ = 21.27°, I 8.8
(1 1 0), 2θ = 30.26°, I 7.6
(1 1 1), 2θ = 37.28°, I 100.0
(2 0 0), 2θ = 43.32°, I 51.0
(2 1 0), 2θ = 48.74°, I 4.4
(2 1 1), 2θ = 53.75°, I 3.4
(2 2 0), 2θ = 62.93°, I 32.8
(3 0 0), 2θ = 67.23°, I 2.2

Cell and atoms:
a = 4.178 Å, b = 4.178 Å, c = 4.178 Å
α = 90.00°, β = 90.00°, γ = 90.00°
Space group Pm-3m (No. 221)
One atom of each set of equivalent atoms:
1 Ta 0.000 0.000 0.000 x1
2 Mo 0.000 0.500 0.500 x3
3 H 0.000 0.000 0.500 x3
4 H 0.500 0.500 0.500 x1

=====

The following is a simulated X-ray powder pattern of TeBrCl2. It was derived from a DFT-relaxed cell (PBE, Alexandria), using Cu Kα X-rays.
Lines closer than 0.1° are merged.

Most intense lines, 5 to 70 degrees two-theta, in order of rising 2θ:
(1 0 1), 2θ = 13.41°, I 75.7
(0 1 1), 2θ = 16.17°, I 100.0
(1 1 1), 2θ = 19.73°, I 28.0
(1 1 2), 2θ = 23.53°, I 65.7
(2 1 0), 2θ = 26.86°, I 43.0
(2 1 1), 2θ = 27.88°, I 44.5
(1 1 3), 2θ = 28.84°, I 52.0
(2 2 0), 2θ = 37.07°, I 29.0
(1 2 3), 2θ = 38.58°, I 66.4
(3 0 3), 2θ = 41.02°, I 43.7

Cell and atoms:
a = 7.885 Å, b = 6.151 Å, c = 12.067 Å
α = 90.00°, β = 90.00°, γ = 90.00°
Space group Pnna (No. 52)
One atom of each set of equivalent atoms:
1 Te 0.250 0.000 0.085 x4
2 Br 0.075 0.250 0.250 x4
3 Cl 0.119 0.229 0.945 x8

=====

The following is a simulated X-ray powder pattern of Na2Pd3Pb2. It was derived from a DFT-relaxed cell (PBE, Alexandria), using Cu Kα X-rays.
Lines closer than 0.1° are merged.

Most intense lines, 5 to 70 degrees two-theta, in order of rising 2θ:
(0 0 3), 2θ = 11.80°, I 70.6
(1 0 1), 2θ = 21.93°, I 34.1
(0 0 6), 2θ = 23.73°, I 19.2
(0 1 5), 2θ = 29.39°, I 33.2
(1 0 7), 2θ = 35.42°, I 56.9
(1 1 0), 2θ = 37.82°, I 100.0
(1 1 3), 2θ = 39.75°, I 22.5
(1 1 6), 2θ = 45.14°, I 22.0
(1 0 10), 2θ = 45.96°, I 26.4
(1 1 9), 2θ = 53.15°, I 18.3

Cell and atoms:
a = 4.7576 Å, b = 4.7576 Å, c = 22.4980 Å
α = 90.00°, β = 90.00°, γ = 120.00°
Space group R-3m (No. 166, hexagonal axes)
One atom of each set of equivalent atoms:
1 Na 0.0000 0.0000 0.1364 x6
2 Pd 0.0000 0.0000 0.0000 x3
3 Pd 0.0000 0.0000 0.2787 x6
4 Pb 0.0000 0.0000 0.4031 x6

=====

The following is a simulated X-ray powder pattern of Sr2PmSi2. It was derived from a DFT-relaxed cell (PBE, Alexandria), using Cu Kα X-rays.
Lines closer than 0.1° are merged.

Most intense lines, 5 to 70 degrees two-theta, in order of rising 2θ:
(0 0 1), 2θ = 9.16°, I 30.2
(1 1 -2), 2θ = 24.26°, I 50.0
(0 0 3), 2θ = 27.73°, I 29.8
(3 1 -1), 2θ = 28.19°, I 40.4
(3 1 -2), 2θ = 28.59°, I 66.1
(4 0 -1), 2θ = 29.15°, I 42.3
(1 1 2), 2θ = 30.10°, I 100.0
(3 1 -3), 2θ = 31.89°, I 96.1
(3 1 1), 2θ = 35.75°, I 57.5
(0 2 0), 2θ = 37.05°, I 55.9

Cell and atoms:
a = 12.696 Å, b = 4.852 Å, c = 11.255 Å
α = 90.00°, β = 120.97°, γ = 90.00°
Space group C2/m (No. 12)
One atom of each set of equivalent atoms:
1 Sr 0.021 0.000 0.184 x4
2 Sr 0.182 0.000 0.593 x4
3 Pm 0.207 0.500 0.856 x4
4 Si 0.031 0.500 0.412 x4
5 Si 0.127 0.500 0.066 x4